The following is a calculated powder X-ray diffraction pattern of Li2BeAg2. It was derived from a crystal structure in Alexandria, relaxed with GGA-PBE, using Cu Kα (weighted mean of Kα1 and Kα2).

The 10 most intense peaks (10° ≤ 2θ ≤ 90°), most intense first:
d (Å), I (rel.), index
3.124, 100, 2 1 0
2.147, 82, 2 1 1
3.493, 52, 2 0 0
2.955, 41, 0 0 1
2.256, 37, 2 0 1
1.470, 33, 4 1 1
1.694, 27, 4 1 0
2.209, 18, 3 1 0
1.438, 18, 3 3 1
1.646, 14, 3 3 0

Structure:
a = 6.985 Å, b = 6.985 Å, c = 2.955 Å
α = 90.00°, β = 90.00°, γ = 90.00°
Space group P4/mbm (No. 127)
One atom of each set of equivalent atoms:
Li (0.124, 0.376, 0.000) x4
Be (0.000, 0.000, 0.000) x2
Ag (0.179, 0.679, 0.500) x4